Simulated X-ray diffraction stick pattern of ReCS for Cu Ka, from the PBE geometry in Alexandria.
Kinematic intensities with the Lorentz-polarization factor, no thermal factor.

Cell and atoms:
```
12
Lattice="12.4336 0.0000 0.0000 0.0000 2.9037 0.0000 -2.3813 0.0000 5.1341" Properties=species:S:1:pos:R:3 pbc="T T T"
Re 0.0000 0.0000 0.0000
Re 0.1387 1.4518 3.9351
Re 6.2168 1.4518 0.0000
Re 6.3555 0.0000 3.9351
C 1.6082 0.0000 3.6733
C 2.9205 0.0000 4.0031
C 7.8250 1.4518 3.6733
C 9.1373 1.4518 4.0031
S -0.7404 1.4518 1.7055
S 2.2515 0.0000 0.6015
S 5.4764 0.0000 1.7055
S 8.4683 1.4518 0.6015
```

Principal peaks in the range 2θ = 10–80°, most intense first:
2theta  I/Imax
17.27  100
15.71  75
34.73  69
29.01  50
28.00  44
39.20  40
38.59  38
45.26  37
31.67  34
36.07  23



Simulated X-ray diffraction stick pattern of TbCu11 for Cu Ka, from the PBE geometry in Alexandria.
Kinematic intensities with the Lorentz-polarization factor, no thermal factor.

Cell and atoms:
```
24
Lattice="-4.9968 4.9968 3.2740 4.9968 -4.9968 3.2740 4.9968 4.9968 -3.2740" Properties=species:S:1:pos:R:3 pbc="T T T"
Tb 4.9968 2.4984 0.8185
Tb 0.0000 2.4984 2.4555
Cu 0.0000 0.0000 0.0000
Cu 2.4984 2.4984 -1.6370
Cu 2.4984 -2.4984 1.6370
Cu 4.9968 -2.4984 2.4555
Cu 3.7724 -0.4374 1.1842
Cu 6.2212 -0.4374 1.1842
Cu 2.0610 1.2740 0.4528
Cu 7.9325 1.2740 0.4528
Cu 3.7724 4.5594 -1.1842
Cu 1.2244 -0.4374 2.0898
Cu 2.0610 3.7228 0.4528
Cu 2.9358 -1.2740 3.7268
Cu 0.0000 4.9968 0.0000
Cu 2.0610 6.2708 -0.4528
Cu 2.9358 1.2740 2.8213
Cu 3.7724 5.4342 1.1842
Cu 1.2244 0.4374 4.4583
Cu -2.9358 3.7228 2.8213
Cu 2.9358 3.7228 2.8213
Cu -1.2244 5.4342 2.0898
Cu 1.2244 5.4342 2.0898
Cu 0.0000 7.4952 0.8185
```

Principal peaks in the range 2θ = 10–80°, most intense first:
2theta  I/Imax
39.64  100
40.36  68
47.57  41
35.16  38
42.39  32
49.38  28
72.90  26
30.09  21
61.03  18
45.68  14



Simulated X-ray diffraction stick pattern of YHo6Se8 for Cu Ka, from the PBE geometry in Alexandria.
Kinematic intensities with the Lorentz-polarization factor, no thermal factor.

Cell and atoms:
```
15
Lattice="0.0000 5.7168 5.7168 5.7168 0.0000 5.7168 5.7168 5.7168 0.0000" Properties=species:S:1:pos:R:3 pbc="T T T"
Y 0.0000 0.0000 0.0000
Ho 2.8584 2.8584 0.0000
Ho 2.8584 0.0000 2.8584
Ho 5.7168 2.8584 2.8584
Ho 0.0000 2.8584 2.8584
Ho 2.8584 5.7168 2.8584
Ho 2.8584 2.8584 5.7168
Se 2.8584 2.8584 2.8584
Se 5.7168 5.7168 2.9126
Se 5.7168 2.9126 5.7168
Se 8.5211 5.7168 5.7168
Se 2.9126 5.7168 5.7168
Se 5.7168 8.5211 5.7168
Se 5.7168 5.7168 8.5211
Se 8.5752 8.5752 8.5752
```

Principal peaks in the range 2θ = 10–80°, most intense first:
2theta  I/Imax
31.29  100
44.84  74
74.18  33
55.70  26
27.01  12
65.29  12
15.50  10
21.99  9
53.13  6
35.10  6



Simulated X-ray diffraction stick pattern of CeMg14Zr for Cu Ka, from the PBE geometry in Alexandria.
Kinematic intensities with the Lorentz-polarization factor, no thermal factor.

Cell and atoms:
```
16
Lattice="6.5435 0.0000 0.0000 -3.2718 5.6668 0.0000 0.0000 0.0000 10.2278" Properties=species:S:1:pos:R:3 pbc="T T T"
Ce 0.0000 0.0000 0.0000
Mg 4.9059 2.8324 5.1139
Mg -1.5706 2.8711 0.0000
Mg 0.0000 1.8935 2.6405
Mg 0.0000 1.8935 7.5873
Mg -1.6319 4.7201 2.6405
Mg -1.6319 4.7201 7.5873
Mg 1.5706 2.8711 0.0000
Mg 0.0000 5.5915 0.0000
Mg 3.2718 0.0019 5.1139
Mg 1.6376 2.8324 5.1139
Mg 1.6319 4.7201 2.6405
Mg 1.6319 4.7201 7.5873
Mg 3.2718 1.8889 2.4808
Mg 3.2718 1.8889 7.7469
Zr 0.0000 0.0000 5.1139
```

Principal peaks in the range 2θ = 10–80°, most intense first:
2theta  I/Imax
36.25  100
15.64  48
23.43  38
31.58  30
35.10  23
68.04  19
47.92  18
63.71  18
56.23  17
32.49  16